This entry pairs a crystal structure of BaZrP2Se8 with its theoretical XRD peak list. Radiation: Cu Kα. Structure: a cell relaxed with GGA-PBE.
No peak broadening, texture or thermal motion is included.

Peak list (8 most intense, 10 to 80 degrees two-theta, by angle)
2theta	intensity	(hkl)
25.08	25	1 0 2
29.00	34	0 0 3
29.50	100	1 1 1
34.05	96	2 -1 2
48.59	43	1 1 4
49.24	44	3 0 0
58.16	27	3 0 3
61.22	17	2 2 2

Structural model:
Unit cell a=6.4106 b=6.4106 c=9.2380 alpha=90.00 beta=90.00 gamma=120.00
Space group P-3 (No. 147)
Symmetry-distinct sites (fractional):
Ba (0.0000, 0.0000, 0.0000) (multiplicity 1)
Zr (0.0000, 0.0000, 0.5000) (multiplicity 1)
P (0.3333, 0.6667, 0.7429) (multiplicity 2)
Se (0.0130, 0.6679, 0.3254) (multiplicity 6)
Se (0.3333, 0.6667, 0.9777) (multiplicity 2)

This entry pairs a crystal structure of BeFeOs2 with its theoretical XRD peak list. Radiation: Cu Kα. Structure: a cell relaxed with GGA-PBE.
No peak broadening, texture or thermal motion is included.

Peak list (8 most intense, 10 to 80 degrees two-theta, by angle)
2theta	intensity	(hkl)
14.14	61	0 0 1
35.87	79	1 0 1
43.34	20	0 0 3
43.99	100	1 0 2
47.06	47	1 1 0
65.89	24	1 1 3
68.75	15	2 0 0
78.67	12	1 1 4

Structural model:
Unit cell a=2.731 b=2.731 c=6.263 alpha=90.00 beta=90.00 gamma=90.00
Space group P4mm (No. 99)
Symmetry-distinct sites (fractional):
Be (0.000, 0.000, 0.000) (multiplicity 1)
Fe (0.500, 0.500, 0.196) (multiplicity 1)
Os (0.000, 0.000, 0.462) (multiplicity 1)
Os (0.500, 0.500, 0.766) (multiplicity 1)